Entry 1:
The following is a theoretical powder diffractogram of Na3LiWO5. It was derived from a cell relaxed with GGA+U, using copper Kα.
Intensities are scaled so that the largest is 100.

Main lines, most intense first (2θ = 10–90°):
- 2θ = 18.12°, intensity 100
- 2θ = 40.70°, intensity 98
- 2θ = 19.53°, intensity 86
- 2θ = 36.78°, intensity 62
- 2θ = 16.79°, intensity 58
- 2θ = 17.97°, intensity 55
- 2θ = 15.32°, intensity 47
- 2θ = 27.03°, intensity 44
- 2θ = 25.32°, intensity 43
- 2θ = 34.09°, intensity 39

Crystal structure
a = 5.719 Å, b = 6.109 Å, c = 7.674 Å
α = 76.51°, β = 71.50°, γ = 73.43°
Sites, in units of the cell vectors:
Na1 0.020 0.245 0.489
Na2 0.177 0.054 0.113
Na3 0.203 0.549 0.096
Na4 0.797 0.451 0.904
Na5 0.823 0.946 0.887
Na6 0.980 0.755 0.511
Li1 0.386 0.860 0.655
Li2 0.614 0.140 0.345
W1 0.399 0.340 0.703
W2 0.601 0.660 0.297
O1 0.146 0.166 0.772
O2 0.150 0.621 0.774
O3 0.345 0.921 0.393
O4 0.349 0.447 0.428
O5 0.488 0.272 0.927
O6 0.512 0.728 0.073
O7 0.651 0.553 0.572
O8 0.655 0.079 0.607
O9 0.850 0.379 0.226
O10 0.854 0.834 0.228

=====

Entry 2:
The following is a theoretical powder diffractogram of MgFe2Cu2O8. It was derived from a cell relaxed with GGA+U, using copper Kα.
Intensities are scaled so that the largest is 100.

Main lines, most intense first (2θ = 10–90°):
- 2θ = 29.86°, intensity 100
- 2θ = 31.14°, intensity 70
- 2θ = 26.49°, intensity 43
- 2θ = 30.52°, intensity 35
- 2θ = 33.28°, intensity 31
- 2θ = 35.80°, intensity 27
- 2θ = 29.37°, intensity 27
- 2θ = 22.57°, intensity 23
- 2θ = 43.73°, intensity 23
- 2θ = 24.76°, intensity 22

Crystal structure
a = 6.416 Å, b = 8.289 Å, c = 11.983 Å
α = 90.00°, β = 92.60°, γ = 90.00°
Sites, in units of the cell vectors:
Mg1 0.115 0.158 0.047
Mg2 0.115 0.342 0.547
Mg3 0.885 0.658 0.453
Mg4 0.885 0.842 0.953
Fe1 0.097 0.040 0.338
Fe2 0.097 0.460 0.838
Fe3 0.388 0.593 0.368
Fe4 0.388 0.907 0.868
Fe5 0.612 0.093 0.132
Fe6 0.612 0.407 0.632
Fe7 0.903 0.540 0.162
Fe8 0.903 0.960 0.662
Cu1 0.246 0.691 0.620
Cu2 0.246 0.809 0.120
Cu3 0.376 0.059 0.630
Cu4 0.376 0.441 0.130
Cu5 0.624 0.559 0.870
Cu6 0.624 0.941 0.370
Cu7 0.754 0.191 0.880
Cu8 0.754 0.309 0.380
O1 0.027 0.239 0.396
O2 0.027 0.261 0.896
O3 0.096 0.112 0.618
O4 0.096 0.388 0.118
O5 0.130 0.021 0.193
O6 0.130 0.479 0.693
O7 0.191 0.576 0.481
O8 0.191 0.924 0.981
O9 0.310 0.627 0.212
O10 0.310 0.873 0.712
O11 0.352 0.514 0.899
O12 0.352 0.986 0.399
O13 0.412 0.236 0.078
O14 0.412 0.264 0.578
O15 0.493 0.115 0.856
O16 0.493 0.385 0.356
O17 0.507 0.615 0.644
O18 0.507 0.885 0.144
O19 0.588 0.736 0.422
O20 0.588 0.764 0.922
O21 0.648 0.014 0.601
O22 0.648 0.486 0.101
O23 0.690 0.127 0.288
O24 0.690 0.373 0.788
O25 0.809 0.076 0.019
O26 0.809 0.424 0.519
O27 0.870 0.521 0.307
O28 0.870 0.979 0.807
O29 0.904 0.612 0.882
O30 0.904 0.888 0.382
O31 0.973 0.739 0.104
O32 0.973 0.761 0.604

=====

Entry 3:
The following is a theoretical powder diffractogram of NaSrZrVO6. It was derived from a cell relaxed with GGA+U, using copper Kα.
Intensities are scaled so that the largest is 100.

Main lines, most intense first (2θ = 10–90°):
- 2θ = 31.68°, intensity 100
- 2θ = 45.41°, intensity 43
- 2θ = 56.43°, intensity 38
- 2θ = 66.17°, intensity 24
- 2θ = 19.24°, intensity 24
- 2θ = 75.23°, intensity 16
- 2θ = 37.33°, intensity 16
- 2θ = 22.26°, intensity 12
- 2θ = 49.75°, intensity 8
- 2θ = 83.92°, intensity 8

Crystal structure
a = 5.649 Å, b = 5.649 Å, c = 5.649 Å
α = 60.00°, β = 60.00°, γ = 60.00°
Sites, in units of the cell vectors:
Na1 0.000 0.000 0.000
Sr1 0.500 0.500 0.500
Zr1 0.750 0.750 0.750
V1 0.250 0.250 0.250
O1 0.012 0.012 0.488
O2 0.012 0.488 0.012
O3 0.012 0.488 0.488
O4 0.488 0.012 0.012
O5 0.488 0.012 0.488
O6 0.488 0.488 0.012

=====

Entry 4:
The following is a theoretical powder diffractogram of Li3Mn2O5. It was derived from a cell relaxed with GGA+U, using copper Kα.
Intensities are scaled so that the largest is 100.

Main lines, most intense first (2θ = 10–90°):
- 2θ = 18.08°, intensity 100
- 2θ = 43.99°, intensity 62
- 2θ = 39.73°, intensity 44
- 2θ = 36.07°, intensity 28
- 2θ = 33.06°, intensity 24
- 2θ = 60.37°, intensity 21
- 2θ = 61.14°, intensity 20
- 2θ = 10.82°, intensity 18
- 2θ = 64.85°, intensity 15
- 2θ = 46.37°, intensity 12

Crystal structure
a = 3.082 Å, b = 3.082 Å, c = 24.537 Å
α = 90.03°, β = 90.03°, γ = 55.61°
Sites, in units of the cell vectors:
Li1 0.000 0.000 0.000
Li2 0.100 0.100 0.700
Li3 0.306 0.306 0.093
Li4 0.500 0.500 0.500
Li5 0.694 0.694 0.907
Li6 0.900 0.900 0.300
Mn1 0.200 0.200 0.400
Mn2 0.397 0.397 0.801
Mn3 0.603 0.603 0.199
Mn4 0.800 0.800 0.600
O1 0.040 0.040 0.844
O2 0.167 0.167 0.554
O3 0.236 0.236 0.246
O4 0.360 0.360 0.949
O5 0.433 0.433 0.646
O6 0.567 0.567 0.354
O7 0.640 0.640 0.051
O8 0.764 0.764 0.754
O9 0.833 0.833 0.446
O10 0.960 0.960 0.156

=====

Entry 5:
The following is a theoretical powder diffractogram of VF5. It was derived from a cell relaxed with GGA+U, using copper Kα.
Intensities are scaled so that the largest is 100.

Main lines, most intense first (2θ = 10–90°):
- 2θ = 16.83°, intensity 100
- 2θ = 24.82°, intensity 48
- 2θ = 22.71°, intensity 48
- 2θ = 18.58°, intensity 46
- 2θ = 41.42°, intensity 31
- 2θ = 42.27°, intensity 29
- 2θ = 21.21°, intensity 28
- 2θ = 46.38°, intensity 24
- 2θ = 17.34°, intensity 19
- 2θ = 30.10°, intensity 16

Crystal structure
a = 6.339 Å, b = 8.720 Å, c = 8.773 Å
α = 90.00°, β = 131.11°, γ = 90.00°
Sites, in units of the cell vectors:
V1 0.116 0.129 0.438
V2 0.116 0.371 0.938
V3 0.884 0.629 0.062
V4 0.884 0.871 0.562
F1 0.084 0.600 0.959
F2 0.084 0.900 0.459
F3 0.104 0.172 0.943
F4 0.104 0.328 0.443
F5 0.222 0.613 0.305
F6 0.222 0.887 0.805
F7 0.288 0.101 0.347
F8 0.288 0.399 0.847
F9 0.425 0.116 0.696
F10 0.425 0.384 0.196
F11 0.575 0.616 0.804
F12 0.575 0.884 0.304
F13 0.712 0.601 0.153
F14 0.712 0.899 0.653
F15 0.778 0.113 0.195
F16 0.778 0.387 0.695
F17 0.896 0.672 0.557
F18 0.896 0.828 0.057
F19 0.916 0.100 0.541
F20 0.916 0.400 0.041

=====

Entry 6:
The following is a theoretical powder diffractogram of Ca2MnFeO5. It was derived from a cell relaxed with GGA+U, using copper Kα.
Intensities are scaled so that the largest is 100.

Main lines, most intense first (2θ = 10–90°):
- 2θ = 32.91°, intensity 100
- 2θ = 46.36°, intensity 27
- 2θ = 31.69°, intensity 25
- 2θ = 48.04°, intensity 19
- 2θ = 58.77°, intensity 16
- 2θ = 57.22°, intensity 12
- 2θ = 68.99°, intensity 11
- 2θ = 42.61°, intensity 10
- 2θ = 33.56°, intensity 8
- 2θ = 22.70°, intensity 8

Crystal structure
a = 5.437 Å, b = 15.147 Å, c = 5.647 Å
α = 90.00°, β = 90.00°, γ = 90.00°
Sites, in units of the cell vectors:
Ca1 0.020 0.109 0.027
Ca2 0.020 0.391 0.027
Ca3 0.480 0.609 0.527
Ca4 0.480 0.891 0.527
Ca5 0.520 0.109 0.473
Ca6 0.520 0.391 0.473
Ca7 0.980 0.609 0.973
Ca8 0.980 0.891 0.973
Mn1 0.000 0.000 0.500
Mn2 0.000 0.500 0.500
Mn3 0.500 0.000 0.000
Mn4 0.500 0.500 0.000
Fe1 0.052 0.250 0.567
Fe2 0.448 0.750 0.067
Fe3 0.552 0.250 0.933
Fe4 0.948 0.750 0.433
O1 0.032 0.643 0.575
O2 0.032 0.857 0.575
O3 0.090 0.750 0.117
O4 0.243 0.516 0.236
O5 0.243 0.984 0.236
O6 0.257 0.016 0.736
O7 0.257 0.484 0.736
O8 0.410 0.250 0.617
O9 0.468 0.143 0.075
O10 0.468 0.357 0.075
O11 0.532 0.643 0.925
O12 0.532 0.857 0.925
O13 0.590 0.750 0.383
O14 0.743 0.516 0.264
O15 0.743 0.984 0.264
O16 0.757 0.016 0.764
O17 0.757 0.484 0.764
O18 0.910 0.250 0.883
O19 0.968 0.143 0.425
O20 0.968 0.357 0.425